No. 1
Simulated XRD peak list of RbLa9Ir4O24 for Cu Kα (λ = 1.5418 Å), from a crystal structure in OQMD, relaxed with GGA-PBE.

Cell and atoms:
a = 10.4464 Å, b = 10.4464 Å, c = 10.4464 Å
α = 136.74°, β = 136.74°, γ = 62.83°
Atoms (fractional coordinates):
1 Rb 0.0000 0.0000 0.0000
2 La 0.0402 0.5367 0.8657
3 La 0.1745 0.0402 0.5035
4 La 0.3290 0.8255 0.8657
5 La 0.4633 0.3290 0.5035
6 La 0.5000 0.5000 0.0000
7 La 0.5367 0.6710 0.4965
8 La 0.6710 0.1745 0.1343
9 La 0.8255 0.9598 0.4965
10 La 0.9598 0.4633 0.1343
11 Ir 0.0000 0.5000 0.5000
12 Ir 0.2592 0.2592 0.0000
13 Ir 0.5000 0.0000 0.5000
14 Ir 0.7408 0.7408 0.0000
15 O 0.0107 0.2768 0.4643
16 O 0.0173 0.2045 0.6910
17 O 0.1495 0.1495 0.0000
18 O 0.1874 0.4536 0.4643
19 O 0.2045 0.5135 0.1872
20 O 0.2129 0.6349 0.8478
21 O 0.2768 0.8126 0.2661
22 O 0.3263 0.0173 0.8128
23 O 0.3651 0.2129 0.5780
24 O 0.3721 0.3721 0.0000
25 O 0.4536 0.9893 0.2661
26 O 0.4865 0.6737 0.6910
27 O 0.5135 0.3263 0.3090
28 O 0.5464 0.0107 0.7339
29 O 0.6279 0.6279 0.0000
30 O 0.6349 0.7871 0.4220
31 O 0.6737 0.9827 0.1872
32 O 0.7232 0.1874 0.7339
33 O 0.7871 0.3651 0.1522
34 O 0.7955 0.4865 0.8128
35 O 0.8126 0.5464 0.5357
36 O 0.8505 0.8505 0.0000
37 O 0.9827 0.7955 0.3090
38 O 0.9893 0.7232 0.5357

Main lines, by angle (10 to 90 degrees two-theta):
| d/Å | 2θ (°) | intensity |
| --- | --- | --- |
| 4.647 | 19.10 | 42 |
| 3.381 | 26.36 | 24 |
| 2.978 | 30.00 | 44 |
| 2.914 | 30.68 | 100 |
| 2.723 | 32.90 | 39 |
| 2.435 | 36.91 | 17 |
| 2.349 | 38.31 | 19 |
| 2.048 | 44.23 | 25 |
| 1.782 | 51.27 | 19 |
| 1.723 | 53.15 | 27 |


No. 2
Simulated XRD peak list of LaIrSO2 for Cu Kα (λ = 1.5418 Å), from a crystal structure in OQMD, relaxed with GGA-PBE.

Cell and atoms:
a = 4.0429 Å, b = 4.0450 Å, c = 4.9640 Å
α = 84.61°, β = 84.22°, γ = 89.85°
Atoms (fractional coordinates):
1 La 0.0000 0.0000 0.0000
2 Ir 0.4516 0.4554 0.3571
3 S 0.5251 0.5235 0.8098
4 O 0.4581 0.9647 0.2817
5 O 0.9616 0.4612 0.2809

Main lines, by angle (10 to 90 degrees two-theta):
| d/Å | 2θ (°) | intensity |
| --- | --- | --- |
| 4.917 | 18.04 | 54 |
| 3.275 | 27.23 | 100 |
| 2.981 | 29.98 | 59 |
| 2.970 | 30.09 | 59 |
| 2.856 | 31.32 | 65 |
| 2.836 | 31.55 | 56 |
| 2.199 | 41.05 | 29 |
| 2.192 | 41.18 | 29 |
| 2.014 | 45.01 | 46 |
| 2.011 | 45.09 | 45 |


No. 3
Simulated XRD peak list of La2SmIrO6 for Cu Kα (λ = 1.5418 Å), from a crystal structure in OQMD, relaxed with GGA-PBE.

Cell and atoms:
a = 5.7397 Å, b = 6.0192 Å, c = 9.7974 Å
α = 90.00°, β = 123.49°, γ = 90.00°
Atoms (fractional coordinates):
1 La 0.2257 0.0622 0.2485
2 La 0.2257 0.4378 0.7485
3 La 0.7743 0.5622 0.2515
4 La 0.7743 0.9378 0.7515
5 Sm 0.5000 0.0000 0.0000
6 Sm 0.5000 0.5000 0.5000
7 Ir 0.0000 0.0000 0.5000
8 Ir 0.0000 0.5000 0.0000
9 O 0.1181 0.2061 0.9397
10 O 0.1181 0.2939 0.4397
11 O 0.2363 0.6914 0.9416
12 O 0.2363 0.8086 0.4416
13 O 0.3596 0.0494 0.7332
14 O 0.3596 0.4506 0.2332
15 O 0.6404 0.5494 0.7668
16 O 0.6404 0.9506 0.2668
17 O 0.7637 0.1914 0.5584
18 O 0.7637 0.3086 0.0584
19 O 0.8819 0.7061 0.5603
20 O 0.8819 0.7939 0.0603

Main lines, by angle (10 to 90 degrees two-theta):
| d/Å | 2θ (°) | intensity |
| --- | --- | --- |
| 3.010 | 29.68 | 31 |
| 2.956 | 30.23 | 72 |
| 2.869 | 31.17 | 100 |
| 2.076 | 43.60 | 27 |
| 2.043 | 44.35 | 17 |
| 1.727 | 53.02 | 9 |
| 1.709 | 53.61 | 9 |
| 1.689 | 54.30 | 29 |
| 1.640 | 56.06 | 15 |
| 1.478 | 62.86 | 10 |


No. 4
Simulated XRD peak list of La2PrIr2PdPb3 for Cu Kα (λ = 1.5418 Å), from a crystal structure in OQMD, relaxed with GGA-PBE.

Cell and atoms:
a = 4.1454 Å, b = 7.8551 Å, c = 7.8551 Å
α = 120.30°, β = 90.00°, γ = 90.00°
Atoms (fractional coordinates):
1 La 0.0000 0.2079 0.7921
2 La 0.0000 0.7921 0.2079
3 Pr 0.0000 0.6218 0.6218
4 Ir 0.5000 0.5417 0.8787
5 Ir 0.5000 0.8787 0.5417
6 Pd 0.0000 0.2096 0.2096
7 Pb 0.5000 0.2104 0.4661
8 Pb 0.5000 0.4661 0.2104
9 Pb 0.5000 0.9488 0.9488

Main lines, by angle (10 to 90 degrees two-theta):
| d/Å | 2θ (°) | intensity |
| --- | --- | --- |
| 4.145 | 21.44 | 17 |
| 2.849 | 31.40 | 100 |
| 2.627 | 34.13 | 92 |
| 2.571 | 34.90 | 42 |
| 2.560 | 35.05 | 20 |
| 2.261 | 39.88 | 27 |
| 2.185 | 41.32 | 28 |
| 2.073 | 43.67 | 30 |
| 1.614 | 57.08 | 21 |
| 1.461 | 63.72 | 25 |


No. 5
Simulated XRD peak list of La3Si4Ir2Pd2 for Cu Kα (λ = 1.5418 Å), from a crystal structure in OQMD, relaxed with GGA-PBE.

Cell and atoms:
a = 12.9258 Å, b = 12.9258 Å, c = 12.9258 Å
α = 161.50°, β = 161.19°, γ = 26.50°
Atoms (fractional coordinates):
1 La 0.0000 0.0000 0.0000
2 La 0.3529 0.8529 0.5000
3 La 0.6471 0.1471 0.5000
4 Si 0.1995 0.6995 0.5000
5 Si 0.4526 0.4526 0.0000
6 Si 0.5474 0.5474 0.0000
7 Si 0.8005 0.3005 0.5000
8 Ir 0.2496 0.2496 0.0000
9 Ir 0.7504 0.7504 0.0000
10 Pd 0.0997 0.5997 0.5000
11 Pd 0.9003 0.4003 0.5000

Main lines, by angle (10 to 90 degrees two-theta):
| d/Å | 2θ (°) | intensity |
| --- | --- | --- |
| 3.145 | 28.37 | 17 |
| 2.719 | 32.94 | 18 |
| 2.680 | 33.43 | 100 |
| 2.112 | 42.81 | 18 |
| 2.078 | 43.55 | 18 |
| 1.754 | 52.15 | 11 |
| 1.481 | 62.72 | 12 |
| 1.389 | 67.42 | 11 |
| 1.305 | 72.44 | 11 |
| 1.289 | 73.50 | 10 |


No. 6
Simulated XRD peak list of La3Sn3Ir2Pd for Cu Kα (λ = 1.5418 Å), from a crystal structure in OQMD, relaxed with GGA-PBE.

Cell and atoms:
a = 7.5971 Å, b = 7.5971 Å, c = 4.2342 Å
α = 90.00°, β = 90.00°, γ = 120.00°
Atoms (fractional coordinates):
1 La 0.0000 0.4180 0.0000
2 La 0.4180 0.0000 0.0000
3 La 0.5820 0.5820 0.0000
4 Sn 0.0000 0.7480 0.5000
5 Sn 0.2520 0.2520 0.5000
6 Sn 0.7480 0.0000 0.5000
7 Ir 0.3333 0.6667 0.5000
8 Ir 0.6667 0.3333 0.5000
9 Pd 0.0000 0.0000 0.0000

Main lines, by angle (10 to 90 degrees two-theta):
| d/Å | 2θ (°) | intensity |
| --- | --- | --- |
| 2.828 | 31.64 | 90 |
| 2.598 | 34.53 | 100 |
| 2.487 | 36.12 | 45 |
| 2.193 | 41.16 | 36 |
| 2.144 | 42.14 | 32 |
| 2.117 | 42.71 | 30 |
| 1.612 | 57.14 | 24 |
| 1.523 | 60.81 | 23 |
| 1.422 | 65.67 | 30 |
| 1.360 | 69.08 | 12 |